[1]
Starting from a structure optimized by DFT (GGA-PBE), the X-ray diffraction stick pattern of CsLi3I4 was computed for Cu Kα.
Peak positions follow from Bragg's law for the DFT cell and can differ from measured ones.

Peak list (10 most intense, 5 to 70 degrees two-theta, sorted by position)
24.66°, I = 97.5
25.41°, I = 100.0
26.23°, I = 97.4
33.88°, I = 11.4
36.39°, I = 14.3
37.60°, I = 11.1
38.47°, I = 21.8
43.35°, I = 22.3
44.90°, I = 25.9
46.23°, I = 35.2

Cell and atoms:
Cell lengths 11.205, 4.680, 11.678 Å; angles 90.00, 93.18, 90.00 degrees
Space group Pm (No. 6)
One atom of each set of equivalent atoms:
1 Cs 0.000 0.000 0.000 [1 per cell]
2 Cs 0.447 0.000 0.147 [1 per cell]
3 Li 0.123 0.000 0.363 [1 per cell]
4 Li 0.220 0.500 0.689 [1 per cell]
5 Li 0.505 0.000 0.530 [1 per cell]
6 Li 0.590 0.500 0.856 [1 per cell]
7 Li 0.769 0.500 0.311 [1 per cell]
8 Li 0.868 0.000 0.636 [1 per cell]
9 I 0.163 0.500 0.233 [1 per cell]
10 I 0.262 0.000 0.566 [1 per cell]
11 I 0.350 0.500 0.896 [1 per cell]
12 I 0.548 0.500 0.406 [1 per cell]
13 I 0.644 0.000 0.734 [1 per cell]
14 I 0.727 0.500 0.071 [1 per cell]
15 I 0.879 0.000 0.397 [1 per cell]
16 I 0.976 0.500 0.728 [1 per cell]


[2]
Starting from a structure optimized by DFT (GGA-PBE), the X-ray diffraction stick pattern of EuPb was computed for Cu Kα.
Peak positions follow from Bragg's law for the DFT cell and can differ from measured ones.

Peak list (10 most intense, 5 to 70 degrees two-theta, sorted by position)
21.43°, I = 2.8
30.48°, I = 59.1
32.54°, I = 100.0
39.29°, I = 1.3
43.65°, I = 22.5
49.56°, I = 7.8
55.49°, I = 44.6
59.31°, I = 18.3
63.44°, I = 7.5
68.15°, I = 12.2

Cell and atoms:
Cell lengths 4.147, 4.147, 3.679 Å; angles 90.00, 90.00, 90.00 degrees
Space group P4/mmm (No. 123)
One atom of each set of equivalent atoms:
1 Eu 0.000 0.000 0.000 [1 per cell]
2 Pb 0.500 0.500 0.500 [1 per cell]